Entry 1:
The following is a computed PXRD pattern of MoN3Cl6. It was derived from a GGA-PBE-relaxed structure, using Cu Kα X-rays.
Intensities are scaled so that the largest is 100.

The 6 most intense peaks (10° ≤ 2θ ≤ 80°), low angle first:
d = 6.278 Å, 2θ 14.11, I = 71; d = 5.712 Å, 2θ 15.51, I = 100; d = 4.439 Å, 2θ 20.00, I = 16; d = 3.505 Å, 2θ 25.41, I = 18; d = 2.719 Å, 2θ 32.95, I = 37; d = 1.752 Å, 2θ 52.22, I = 22

Crystal structure
```
data_MoN3Cl6
_chemical_formula_sum 'Mo2 N6 Cl12'
_cell_length_a 8.8784
_cell_length_b 8.8784
_cell_length_c 7.4601
_cell_angle_alpha 90.00
_cell_angle_beta 90.00
_cell_angle_gamma 90.00
_space_group_name_H-M_alt 'P 42/m'
_space_group_IT_number 84
loop_
_space_group_symop_operation_xyz
'x,y,z'
'-x,-y,-z'
'-y,x,z+1/2'
'y,-x,-z+1/2'
'-x,-y,z'
'x,y,-z'
'y,-x,z+1/2'
'-y,x,-z+1/2'
loop_
_atom_site_label
_atom_site_fract_x
_atom_site_fract_y
_atom_site_fract_z
_atom_site_occupancy
Mo1 0.0000 0.5000 0.0000 1
N1 0.0000 0.0000 0.0000 1
N2 0.2379 0.5935 0.5000 1
Cl1 0.0489 0.3224 0.2193 1
Cl2 0.2513 0.5686 0.0000 1
```

***

Entry 2:
The following is a computed PXRD pattern of Tb2ThPd. It was derived from a GGA-PBE-relaxed structure, using Cu Kα X-rays.
Intensities are scaled so that the largest is 100.

The 6 most intense peaks (10° ≤ 2θ ≤ 80°), low angle first:
d = 2.949 Å, 2θ 30.31, I = 100; d = 2.858 Å, 2θ 31.30, I = 55; d = 2.841 Å, 2θ 31.48, I = 70; d = 2.720 Å, 2θ 32.93, I = 32; d = 2.619 Å, 2θ 34.24, I = 33; d = 1.648 Å, 2θ 55.78, I = 41

Crystal structure
```
data_Tb2ThPd
_chemical_formula_sum 'Tb8 Th4 Pd4'
_cell_length_a 6.9915
_cell_length_b 9.9218
_cell_length_c 6.5497
_cell_angle_alpha 90.00
_cell_angle_beta 90.00
_cell_angle_gamma 90.00
_space_group_name_H-M_alt 'P n m a'
_space_group_IT_number 62
loop_
_space_group_symop_operation_xyz
'x,y,z'
'-x,-y,-z'
'-x+1/2,-y,z+1/2'
'x+1/2,y,-z+1/2'
'x+1/2,-y+1/2,-z+1/2'
'-x+1/2,y+1/2,z+1/2'
'-x,y+1/2,-z'
'x,-y+1/2,z'
loop_
_atom_site_label
_atom_site_fract_x
_atom_site_fract_y
_atom_site_fract_z
_atom_site_occupancy
Tb1 0.1885 0.0595 0.1630 1
Th1 0.0252 0.2500 0.6489 1
Pd1 0.1169 0.7500 0.9283 1
```

***

Entry 3:
The following is a computed PXRD pattern of DySc3C2. It was derived from a GGA-PBE-relaxed structure, using Cu Kα X-rays.
Intensities are scaled so that the largest is 100.

The 6 most intense peaks (10° ≤ 2θ ≤ 80°), low angle first:
d = 5.865 Å, 2θ 15.11, I = 27; d = 4.146 Å, 2θ 21.43, I = 48; d = 2.931 Å, 2θ 30.50, I = 37; d = 2.623 Å, 2θ 34.18, I = 100; d = 2.073 Å, 2θ 43.65, I = 38; d = 1.626 Å, 2θ 56.60, I = 25

Crystal structure
```
data_DySc3C2
_chemical_formula_sum 'Dy2 Sc6 C4'
_cell_length_a 6.7755
_cell_length_b 6.7755
_cell_length_c 5.8587
_cell_angle_alpha 90.00
_cell_angle_beta 90.00
_cell_angle_gamma 120.00
_space_group_name_H-M_alt 'P -3 m 1'
_space_group_IT_number 164
_space_group_name_Hall '-P 3 2"'
loop_
_atom_site_label
_atom_site_fract_x
_atom_site_fract_y
_atom_site_fract_z
_atom_site_occupancy
Dy1 0.3333 0.6667 0.2462 1
Sc1 0.1675 0.3351 0.7956 1
C1 0.0000 0.0000 0.0000 1
C2 0.0000 0.5000 0.0000 1
```

***

Entry 4:
The following is a computed PXRD pattern of Li2Ag5Pb2. It was derived from a GGA-PBE-relaxed structure, using Cu Kα X-rays.
Intensities are scaled so that the largest is 100.

The 6 most intense peaks (10° ≤ 2θ ≤ 80°), low angle first:
d = 4.647 Å, 2θ 19.10, I = 41; d = 3.083 Å, 2θ 28.96, I = 34; d = 2.788 Å, 2θ 32.11, I = 100; d = 2.395 Å, 2θ 37.56, I = 77; d = 2.323 Å, 2θ 38.76, I = 84; d = 1.485 Å, 2θ 62.53, I = 37

Crystal structure
```
data_Li2Ag5Pb2
_chemical_formula_sum 'Li8 Ag20 Pb8'
_cell_length_a 5.8855
_cell_length_b 16.4836
_cell_length_c 7.5705
_cell_angle_alpha 90.00
_cell_angle_beta 90.00
_cell_angle_gamma 90.00
_space_group_name_H-M_alt 'I m m a'
_space_group_IT_number 74
_space_group_name_Hall '-I 2b 2'
loop_
_atom_site_label
_atom_site_fract_x
_atom_site_fract_y
_atom_site_fract_z
_atom_site_occupancy
Li1 0.0000 0.0685 0.0644 1
Ag1 0.0000 0.2500 0.9670 1
Ag2 0.2500 0.1084 0.7500 1
Ag3 0.2500 0.1635 0.2500 1
Pb1 0.0000 0.0000 0.5000 1
Pb2 0.0000 0.2500 0.5609 1
```

***

Entry 5:
The following is a computed PXRD pattern of Er3Al7Cu4. It was derived from a GGA-PBE-relaxed structure, using Cu Kα X-rays.
Intensities are scaled so that the largest is 100.

The 6 most intense peaks (10° ≤ 2θ ≤ 80°), low angle first:
d = 3.826 Å, 2θ 23.25, I = 23; d = 3.806 Å, 2θ 23.37, I = 41; d = 2.934 Å, 2θ 30.47, I = 40; d = 2.511 Å, 2θ 35.75, I = 100; d = 2.475 Å, 2θ 36.30, I = 75; d = 2.079 Å, 2θ 43.53, I = 31

Crystal structure
```
data_Er3Al7Cu4
_chemical_formula_sum 'Er6 Al14 Cu8'
_cell_length_a 15.4267
_cell_length_b 4.1586
_cell_length_c 9.4536
_cell_angle_alpha 90.00
_cell_angle_beta 126.39
_cell_angle_gamma 90.00
_space_group_name_H-M_alt 'C 1 2/m 1'
_space_group_IT_number 12
loop_
_space_group_symop_operation_xyz
'x,y,z'
'-x,-y,-z'
'-x,y,-z'
'x,-y,z'
'x+1/2,y+1/2,z'
'-x+1/2,-y+1/2,-z'
'-x+1/2,y+1/2,-z'
'x+1/2,-y+1/2,z'
loop_
_atom_site_label
_atom_site_fract_x
_atom_site_fract_y
_atom_site_fract_z
_atom_site_occupancy
Er1 0.0000 0.0000 0.0000 1
Er2 0.1909 0.5000 0.6941 1
Al1 0.0000 0.0000 0.5000 1
Al2 0.0052 0.5000 0.2925 1
Al3 0.1568 0.0000 0.4215 1
Al4 0.1758 0.5000 0.0255 1
Cu1 0.1229 0.0000 0.8427 1
Cu2 0.1585 0.5000 0.2740 1
```

***

Please write out number 1 again, unchanged.
The following is a computed PXRD pattern of MoN3Cl6. It was derived from a GGA-PBE-relaxed structure, using Cu Kα X-rays.
Intensities are scaled so that the largest is 100.

The 6 most intense peaks (10° ≤ 2θ ≤ 80°), low angle first:
d = 6.278 Å, 2θ 14.11, I = 71; d = 5.712 Å, 2θ 15.51, I = 100; d = 4.439 Å, 2θ 20.00, I = 16; d = 3.505 Å, 2θ 25.41, I = 18; d = 2.719 Å, 2θ 32.95, I = 37; d = 1.752 Å, 2θ 52.22, I = 22

Crystal structure
```
data_MoN3Cl6
_chemical_formula_sum 'Mo2 N6 Cl12'
_cell_length_a 8.8784
_cell_length_b 8.8784
_cell_length_c 7.4601
_cell_angle_alpha 90.00
_cell_angle_beta 90.00
_cell_angle_gamma 90.00
_space_group_name_H-M_alt 'P 42/m'
_space_group_IT_number 84
loop_
_space_group_symop_operation_xyz
'x,y,z'
'-x,-y,-z'
'-y,x,z+1/2'
'y,-x,-z+1/2'
'-x,-y,z'
'x,y,-z'
'y,-x,z+1/2'
'-y,x,-z+1/2'
loop_
_atom_site_label
_atom_site_fract_x
_atom_site_fract_y
_atom_site_fract_z
_atom_site_occupancy
Mo1 0.0000 0.5000 0.0000 1
N1 0.0000 0.0000 0.0000 1
N2 0.2379 0.5935 0.5000 1
Cl1 0.0489 0.3224 0.2193 1
Cl2 0.2513 0.5686 0.0000 1
```

***

What is the formula in the second record?
Tb2ThPd